Diffraction record for Pm12Y2In. The PXRD pattern is computed, not measured: it uses a cell relaxed with PBE and CuKα.

Structural model:
Cell: 6.6945 6.6945 23.6948 Å, 90.00 90.00 90.00°
Fractional positions:
Pm 0.0031 0.5031 0.0921
Pm 0.0031 0.9969 0.9079
Pm 0.0837 0.5837 0.5657
Pm 0.0837 0.9163 0.4343
Pm 0.2500 0.2500 0.2002
Pm 0.2500 0.2500 0.3286
Pm 0.2500 0.2500 0.6714
Pm 0.2500 0.2500 0.7998
Pm 0.4163 0.5837 0.4343
Pm 0.4163 0.9163 0.5657
Pm 0.4969 0.5031 0.9079
Pm 0.4969 0.9969 0.0921
Pm 0.5031 0.0031 0.9079
Pm 0.5031 0.4969 0.0921
Pm 0.5837 0.0837 0.4343
Pm 0.5837 0.4163 0.5657
Pm 0.7500 0.7500 0.2002
Pm 0.7500 0.7500 0.3286
Pm 0.7500 0.7500 0.6714
Pm 0.7500 0.7500 0.7998
Pm 0.9163 0.0837 0.5657
Pm 0.9163 0.4163 0.4343
Pm 0.9969 0.0031 0.0921
Pm 0.9969 0.4969 0.9079
Y 0.2500 0.7500 0.2531
Y 0.2500 0.7500 0.7469
Y 0.7500 0.2500 0.2531
Y 0.7500 0.2500 0.7469
In 0.2500 0.7500 0.0000
In 0.7500 0.2500 0.0000

Peak list (12 most intense, 2θ from 10° to 90°, in order of rising 2θ)
d (Å), I_rel, index
4.396, 50, 1 1 2
3.221, 100, 2 0 2
3.032, 33, 1 1 6
2.914, 46, 2 0 4
2.753, 31, 1 1 7
2.734, 33, 2 0 5
2.672, 31, 2 1 4
2.633, 27, 0 0 9
2.553, 80, 2 0 6
2.367, 71, 2 2 0
1.722, 42, 3 1 8
1.429, 34, 2 0 15